Structure and computed powder X-ray diffraction pattern of Sr4LiMn2Ga2O10 (DFT lattice parameters and positions (PBE+U); λ = 1.5418 Å (Cu Kα)).
No peak broadening, texture or thermal motion is included.

Crystal structure
```
data_Sr4LiMn2Ga2O10
_symmetry_space_group_name_H-M 'P 1'
_symmetry_Int_Tables_number 1
_cell_length_a 5.546
_cell_length_b 5.854
_cell_length_c 9.128
_cell_angle_alpha 108.54
_cell_angle_beta 107.62
_cell_angle_gamma 90.19
loop_
_symmetry_equiv_pos_as_xyz
'x,y,z'
loop_
_atom_site_label
_atom_site_fract_x
_atom_site_fract_y
_atom_site_fract_z
_atom_site_occupancy
Sr1 0.000 0.000 0.000 1
Sr2 0.201 0.246 0.417 1
Sr3 0.481 0.517 0.963 1
Sr4 0.683 0.689 0.385 1
Li1 0.953 0.658 0.708 1
Mn1 0.089 0.612 0.195 1
Mn2 0.593 0.116 0.202 1
Ga1 0.371 0.903 0.674 1
Ga2 0.887 0.240 0.694 1
O1 0.209 0.694 0.465 1
O2 0.233 0.203 0.690 1
O3 0.311 0.820 0.838 1
O4 0.342 0.345 0.176 1
O5 0.352 0.884 0.211 1
O6 0.733 0.945 0.692 1
O7 0.751 0.337 0.511 1
O8 0.822 0.337 0.174 1
O9 0.831 0.874 0.197 1
O10 0.912 0.502 0.880 1
```

Peak list (10 most intense, 2θ = 15–90°, sorted by position)
- hkl 1 1 0, 2θ = 24.63°, I = 10
- hkl 0 2 -1, 2θ = 30.54°, I = 28
- hkl 1 1 1, 2θ = 31.14°, I = 100
- hkl 2 0 -1, 2θ = 32.28°, I = 35
- hkl 1 -1 3, 2θ = 39.87°, I = 20
- hkl 0 0 4, 2θ = 44.19°, I = 11
- hkl 2 -2 0, 2θ = 44.96°, I = 14
- hkl 2 2 -2, 2θ = 45.12°, I = 15
- hkl 1 3 0, 2θ = 54.71°, I = 9
- hkl 3 1 0, 2θ = 56.86°, I = 10